Entry 1:
Theoretical PXRD pattern
Compound: Be12Nb
Radiation: Cu Ka
Structure: a GGA-PBE-relaxed structure
Lines closer than 0.1° are merged.

Structural model:
```
Be12Nb
1.0
-3.660 3.660 2.107
3.660 -3.660 2.107
3.660 3.660 -2.107
Be Nb
12 1
Cartesian
1.830 1.830 -1.053
1.588 0.000 0.000
1.830 -1.830 1.053
5.732 0.000 0.000
3.660 1.080 0.000
0.000 1.588 0.000
-1.830 1.830 1.053
1.080 3.660 0.000
1.830 1.830 1.053
2.580 0.000 2.107
0.000 5.732 0.000
0.000 2.580 2.107
0.000 0.000 2.107
```

Most intense lines, 5° ≤ 2θ ≤ 70°, most intense first:
two_theta  I (rel.)
24.4  100
34.7  83
17.1  79
49.9  52
42.8  27
38.9  25
50.0  22
67.8  18
59.3  14
46.5  12

***

Entry 2:
Theoretical PXRD pattern
Compound: Bi2TeO2
Radiation: Cu Ka
Structure: a GGA-PBE-relaxed structure
Lines closer than 0.1° are merged.

Structural model:
```
Bi2TeO2
1.0
4.016 0.000 0.000
-0.001 4.032 0.000
-1.976 -1.966 6.451
Bi Te O
2 1 2
Cartesian
0.000 0.000 0.000
0.020 0.064 3.962
1.987 2.091 1.973
0.010 2.086 5.207
2.022 0.072 5.198
```

Most intense lines, 5° ≤ 2θ ≤ 70°, most intense first:
two_theta  I (rel.)
30.5  100
31.4  85
30.3  52
30.4  51
55.4  29
45.0  21
45.2  20
55.1  20
55.5  19
42.0  16

***

Entry 3:
Theoretical PXRD pattern
Compound: LaRhO3
Radiation: Cu Ka
Structure: a GGA-PBE-relaxed structure
Lines closer than 0.1° are merged.

Structural model:
```
LaRhO3
1.0
5.879 0.000 0.000
0.000 7.945 0.000
0.000 0.000 5.521
La Rh O
4 4 12
Cartesian
0.412 1.986 0.111
2.527 5.959 2.872
3.351 1.986 2.649
5.467 5.959 5.410
0.000 0.000 2.761
0.000 3.973 2.761
2.939 0.000 0.000
2.939 3.973 0.000
0.183 5.959 2.176
1.163 4.392 4.476
1.163 7.526 4.476
1.776 0.420 1.715
1.776 3.553 1.715
2.756 1.986 4.937
3.123 5.959 0.584
4.102 4.392 3.806
4.102 7.526 3.806
4.716 0.420 1.045
4.716 3.553 1.045
5.695 1.986 3.345
```

Most intense lines, 5° ≤ 2θ ≤ 70°, most intense first:
two_theta  I (rel.)
31.6  100
32.4  33
57.4  22
30.4  20
45.1  18
45.7  14
24.8  13
50.8  11
57.1  11
66.1  10

***

Entry 4:
Theoretical PXRD pattern
Compound: BaNd2PtO5
Radiation: Cu Ka
Structure: a GGA-PBE-relaxed structure
Lines closer than 0.1° are merged.

Structural model:
```
BaNd2PtO5
1.0
6.831 0.000 0.000
0.000 6.831 0.000
0.000 0.000 6.001
Ba Nd Pt O
2 4 2 10
Cartesian
0.000 0.000 0.000
3.416 3.416 0.000
1.192 2.224 3.000
2.224 5.639 3.000
4.608 1.192 3.000
5.639 4.608 3.000
0.000 3.416 0.000
3.416 0.000 0.000
0.000 0.000 3.000
0.949 4.365 1.526
0.949 4.365 4.475
2.467 0.949 1.526
2.467 0.949 4.475
3.416 3.416 3.000
4.365 5.883 1.526
4.365 5.883 4.475
5.883 2.467 1.526
5.883 2.467 4.475
```

Most intense lines, 5° ≤ 2θ ≤ 70°, most intense first:
two_theta  I (rel.)
30.1  100
29.8  36
32.9  30
37.2  24
42.2  23
48.4  23
53.1  21
44.6  13
56.0  13
18.4  13

***

Entry 5:
Theoretical PXRD pattern
Compound: CsPbI2Br
Radiation: Cu Ka
Structure: a GGA-PBE-relaxed structure
Lines closer than 0.1° are merged.

Structural model:
```
CsPbI2Br
1.0
6.375 0.000 0.000
0.000 6.375 0.000
0.000 0.000 5.962
Cs Pb I Br
1 1 2 1
Cartesian
0.000 0.000 0.000
3.188 3.188 2.981
0.000 3.188 2.981
3.188 0.000 2.981
3.188 3.188 0.000
```

Most intense lines, 5° ≤ 2θ ≤ 70°, most intense first:
two_theta  I (rel.)
28.0  100
41.5  69
20.4  60
24.8  42
30.0  42
40.0  38
50.8  38
34.9  32
14.9  29
13.9  27

***

Entry 6:
Theoretical PXRD pattern
Compound: PaInPt2
Radiation: Cu Ka
Structure: a GGA-PBE-relaxed structure
Lines closer than 0.1° are merged.

Structural model:
```
PaInPt2
1.0
0.000 3.445 3.445
3.445 0.000 3.445
3.445 3.445 0.000
Pa In Pt
1 1 2
Cartesian
0.000 0.000 0.000
3.445 3.445 3.445
1.722 1.722 1.722
5.167 5.167 5.167
```

Most intense lines, 5° ≤ 2θ ≤ 70°, most intense first:
two_theta  I (rel.)
36.9  100
66.5  36
53.2  18
22.3  5
43.6  3
58.4  1

***

Entry 7:
Theoretical PXRD pattern
Compound: HfZn
Radiation: Cu Ka
Structure: a GGA-PBE-relaxed structure
Lines closer than 0.1° are merged.

Structural model:
```
HfZn
1.0
3.304 0.000 0.000
0.000 3.304 0.000
0.000 0.000 3.304
Hf Zn
1 1
Cartesian
0.000 0.000 0.000
1.652 1.652 1.652
```

Most intense lines, 5° ≤ 2θ ≤ 70°, most intense first:
two_theta  I (rel.)
38.5  100
69.7  34
27.0  22
55.6  17
62.9  9
47.7  7

***

Entry 8:
Theoretical PXRD pattern
Compound: K2LiSbI6
Radiation: Cu Ka
Structure: a GGA-PBE-relaxed structure
Lines closer than 0.1° are merged.

Structural model:
```
K2LiSbI6
1.0
0.000 5.985 5.985
5.985 0.000 5.985
5.985 5.985 0.000
K Li Sb I
2 1 1 6
Cartesian
2.993 2.993 2.993
8.978 8.978 8.978
0.000 0.000 0.000
5.985 5.985 5.985
5.985 5.985 2.967
5.985 2.967 5.985
9.003 5.985 5.985
2.967 5.985 5.985
5.985 9.003 5.985
5.985 5.985 9.003
```

Most intense lines, 5° ≤ 2θ ≤ 70°, most intense first:
two_theta  I (rel.)
25.8  100
29.9  94
42.7  69
14.8  47
50.6  45
33.5  26
53.0  24
68.3  18
45.5  14
62.0  11

***

Entry 9:
Theoretical PXRD pattern
Compound: ZrNi4P2
Radiation: Cu Ka
Structure: a GGA-PBE-relaxed structure
Lines closer than 0.1° are merged.

Structural model:
```
ZrNi4P2
1.0
6.928 0.000 0.000
0.000 6.928 0.000
0.000 0.000 3.583
Zr Ni P
2 8 4
Cartesian
0.000 0.000 0.000
3.464 3.464 1.792
0.590 2.320 1.792
1.144 4.054 0.000
2.320 0.590 1.792
2.874 5.784 0.000
4.054 1.144 0.000
4.608 6.338 1.792
5.784 2.874 0.000
6.338 4.608 1.792
1.521 5.407 1.792
1.943 1.943 0.000
4.985 4.985 0.000
5.407 1.521 1.792
```

Most intense lines, 5° ≤ 2θ ≤ 70°, most intense first:
two_theta  I (rel.)
38.4  100
41.2  46
44.8  38
48.7  36
51.0  25
67.5  21
54.6  17
60.9  8
30.9  8
47.3  6

***

Entry 10:
Theoretical PXRD pattern
Compound: LiScHg2
Radiation: Cu Ka
Structure: a GGA-PBE-relaxed structure
Lines closer than 0.1° are merged.

Structural model:
```
LiScHg2
1.0
0.000 3.424 3.424
3.424 0.000 3.424
3.424 3.424 0.000
Li Sc Hg
1 1 2
Cartesian
0.000 0.000 0.000
3.424 3.424 3.424
1.712 1.712 1.712
5.137 5.137 5.137
```

Most intense lines, 5° ≤ 2θ ≤ 70°, most intense first:
two_theta  I (rel.)
37.1  100
26.0  74
66.9  36
60.4  31
45.9  23
53.5  18
22.5  2
43.8  1

***

Entry 11:
Theoretical PXRD pattern
Compound: Sr5Pb2N6
Radiation: Cu Ka
Structure: a GGA-PBE-relaxed structure
Lines closer than 0.1° are merged.

Structural model:
```
Sr5Pb2N6
1.0
5.831 -3.237 0.000
5.831 3.237 0.000
-1.920 0.000 14.487
Sr Pb N
10 4 12
Cartesian
4.391 2.420 10.866
2.899 1.604 14.219
3.549 0.644 4.131
5.883 1.604 7.512
2.589 -0.644 11.375
7.153 0.644 3.112
3.860 -1.604 6.975
6.193 -0.644 10.356
6.843 -1.604 0.269
5.351 -2.420 3.622
2.245 0.834 8.484
3.205 -0.834 1.240
6.537 0.834 13.247
7.497 -0.834 6.003
0.555 0.075 9.692
1.515 -0.075 2.449
1.955 0.115 6.343
0.995 -0.115 13.587
4.225 0.289 9.164
4.558 0.289 12.567
5.185 -0.289 1.921
5.518 -0.289 5.323
8.747 0.115 0.900
7.787 -0.115 8.144
8.227 0.075 12.039
9.187 -0.075 4.795
```

Most intense lines, 5° ≤ 2θ ≤ 70°, most intense first:
two_theta  I (rel.)
33.3  100
28.3  88
31.0  85
26.9  83
16.5  74
35.8  68
15.3  53
30.8  45
32.7  44
43.0  43